Entry 1:
Starting from a PBE-relaxed structure, the X-ray powder pattern of RhAuCl was computed for CuKα.
No peak broadening, texture or thermal motion is included.

Principal peaks in the range 2θ from 10° to 90°, sorted by position:
2theta  d_spacing  I_rel  h k l
15.50  5.717  100.0  0 1 1
31.29  2.859  33.4  0 2 2
37.14  2.421  69.6  1 1 2
38.14  2.360  47.5  1 0 3
40.48  2.228  48.2  0 2 4
42.68  2.118  46.0  1 2 1
55.33  1.660  21.7  1 3 2
56.83  1.620  21.5  0 3 5

Atomic structure:
Lattice parameters (Å, degrees): 2.883 6.454 12.322 90.00 90.00 90.00
Space group Imma (No. 74)
Asymmetric unit:
Rh 0.000 0.000 0.000 (multiplicity 4)
Au 0.000 0.250 0.348 (multiplicity 4)
Cl 0.000 0.250 0.871 (multiplicity 4)


Entry 2:
Starting from a PBE-relaxed structure, the X-ray powder pattern of RuAu2Cl2 was computed for CuKα.
No peak broadening, texture or thermal motion is included.

Principal peaks in the range 2θ from 10° to 90°, sorted by position:
2theta  d_spacing  I_rel  h k l
20.67  4.297  72.9  0 0 1
28.41  3.141  47.5  2 1 0
35.40  2.536  100.0  2 1 1
40.62  2.221  34.8  3 1 0
42.06  2.148  23.0  0 0 2
46.00  1.973  38.7  3 1 1
51.53  1.774  30.9  2 1 2
59.90  1.544  23.7  3 1 2

Atomic structure:
Lattice parameters (Å, degrees): 7.024 7.024 4.297 90.00 90.00 90.00
Space group P4/mbm (No. 127)
Asymmetric unit:
Ru 0.000 0.000 0.000 (multiplicity 2)
Au 0.136 0.364 0.000 (multiplicity 4)
Cl 0.192 0.692 0.500 (multiplicity 4)


Entry 3:
Starting from a PBE-relaxed structure, the X-ray powder pattern of AuSCl3 was computed for CuKα.
No peak broadening, texture or thermal motion is included.

Principal peaks in the range 2θ from 10° to 90°, sorted by position:
2theta  d_spacing  I_rel  h k l
13.66  6.481  48.1  0 2 1
17.88  4.960  100.0  0 4 1
19.96  4.449  33.8  0 6 0
25.84  3.448  15.2  2 2 0
26.72  3.337  21.1  0 8 0
32.15  2.784  16.1  2 6 0
32.30  2.771  14.8  2 2 1
38.30  2.350  16.8  2 4 -3

Atomic structure:
Lattice parameters (Å, degrees): 7.679 26.694 7.976 90.00 111.65 90.00
Space group C2/c (No. 15)
Asymmetric unit:
Au 0.000 0.179 0.250 (multiplicity 4)
Au 0.000 0.321 0.750 (multiplicity 4)
S 0.134 0.020 0.785 (multiplicity 8)
Cl 0.063 0.320 0.488 (multiplicity 8)
Cl 0.180 0.178 0.071 (multiplicity 8)
Cl 0.216 0.074 0.634 (multiplicity 8)


Entry 4:
Starting from a PBE-relaxed structure, the X-ray powder pattern of AuSCl5 was computed for CuKα.
No peak broadening, texture or thermal motion is included.

Principal peaks in the range 2θ from 10° to 90°, sorted by position:
2theta  d_spacing  I_rel  h k l
11.90  7.435  56.0  1 0 0
15.81  5.606  33.2  1 1 0
17.56  5.051  100.0  0 1 2
22.00  4.040  64.8  0 2 1
23.64  3.764  18.1  1 2 -1
28.58  3.123  19.8  2 0 -4
32.39  2.764  20.7  2 2 -3
32.71  2.738  18.1  2 0 2

Atomic structure:
Lattice parameters (Å, degrees): 8.177 8.535 13.806 90.00 114.60 90.00
Space group P2_1/c (No. 14)
Asymmetric unit:
Au 0.086 0.170 0.154 (multiplicity 4)
S 0.238 0.222 0.043 (multiplicity 4)
Cl 0.088 0.616 0.253 (multiplicity 4)
Cl 0.165 0.664 0.510 (multiplicity 4)
Cl 0.240 0.042 0.544 (multiplicity 4)
Cl 0.339 0.187 0.312 (multiplicity 4)
Cl 0.499 0.669 0.379 (multiplicity 4)